Diffraction record for LiV4CuO12. The powder XRD pattern is computed, not measured: it uses a crystal structure in Alexandria, relaxed with PBE+U and CuKα.
Neutral-atom scattering factors, no anomalous dispersion.

Principal peaks in the range 10° ≤ 2θ ≤ 90°, in order of rising 2θ:
(hkl)  2theta  I/Imax
1 1 0  24.1  100
0 0 2  24.3  96
1 -1 0  24.5  99
1 1 2  33.3  68
0 2 0  33.5  64
-1 1 2  33.8  63
1 -1 2  35.8  73
1 -2 1  41.3  66

Cell and atoms:
Cell: 5.006 5.378 7.355 Å, 84.82 89.56 89.07°
Fractional positions:
Li  0.000  0.000  0.000
V  0.008  0.571  0.278
V  0.492  0.052  0.795
V  0.507  0.047  0.283
V  0.991  0.553  0.781
Cu  0.505  0.467  0.495
O  0.101  0.597  0.056
O  0.204  0.900  0.763
O  0.217  0.309  0.365
O  0.312  0.415  0.734
O  0.325  0.780  0.371
O  0.386  0.096  0.061
O  0.606  0.116  0.556
O  0.704  0.405  0.264
O  0.713  0.811  0.855
O  0.817  0.908  0.246
O  0.819  0.299  0.866
O  0.860  0.598  0.558